The following is a calculated PXRD pattern of Li9Mn2Co5O16. It was derived from a GGA+U-relaxed structure, using Cu Kα, 1.54184 Å.
No peak broadening, texture or thermal motion is included.

Crystal structure
a = 5.9116 Å, b = 5.9116 Å, c = 9.7168 Å
α = 97.66°, β = 97.66°, γ = 58.14°
Sites, in units of the cell vectors:
Li1 0.0000 0.0000 0.0000
Li2 0.1231 0.1231 0.7635
Li3 0.1268 0.6359 0.7655
Li4 0.3641 0.8732 0.2345
Li5 0.3737 0.3737 0.2381
Li6 0.6263 0.6263 0.7619
Li7 0.6359 0.1268 0.7655
Li8 0.8732 0.3641 0.2345
Li9 0.8769 0.8769 0.2365
Mn1 0.2500 0.2500 0.5004
Mn2 0.7500 0.7500 0.4996
Co1 0.0000 0.5000 0.0000
Co2 0.2495 0.7505 0.5000
Co3 0.5000 0.0000 0.0000
Co4 0.5000 0.5000 0.0000
Co5 0.7505 0.2495 0.5000
O1 0.0516 0.5551 0.3844
O2 0.0581 0.0581 0.3884
O3 0.1954 0.1954 0.1131
O4 0.2032 0.6697 0.1122
O5 0.3275 0.3275 0.8873
O6 0.3303 0.7968 0.8878
O7 0.4411 0.4411 0.6076
O8 0.4449 0.9484 0.6156
O9 0.5551 0.0516 0.3844
O10 0.5589 0.5589 0.3924
O11 0.6697 0.2032 0.1122
O12 0.6725 0.6725 0.1127
O13 0.7968 0.3303 0.8878
O14 0.8046 0.8046 0.8869
O15 0.9419 0.9419 0.6116
O16 0.9484 0.4449 0.6156

Top 6 peaks for 2θ from 10° to 90°, in order of falling intensity:
18.48 deg, rel. 100
44.23 deg, rel. 51
42.56 deg, rel. 29
36.41 deg, rel. 24
35.15 deg, rel. 16
62.94 deg, rel. 15

---

The following is a calculated PXRD pattern of Fe2PO5. It was derived from a GGA+U-relaxed structure, using Cu Kα, 1.54184 Å.
No peak broadening, texture or thermal motion is included.

Crystal structure
a = 7.3992 Å, b = 7.3992 Å, c = 7.3992 Å
α = 137.04°, β = 137.04°, γ = 62.37°
Sites, in units of the cell vectors:
Fe1 0.0000 0.0000 0.0000
Fe2 0.0000 0.0000 0.5000
Fe3 0.0000 0.5000 0.0000
Fe4 0.5000 0.0000 0.5000
P1 0.3750 0.6250 0.7500
P2 0.6250 0.3750 0.2500
O1 0.1250 0.8750 0.2500
O2 0.2049 0.6925 0.5124
O3 0.3075 0.3198 0.5124
O4 0.3075 0.7951 0.9876
O5 0.3198 0.3075 0.0124
O6 0.6802 0.6925 0.9876
O7 0.6925 0.2049 0.0124
O8 0.6925 0.6802 0.4876
O9 0.7951 0.3075 0.4876
O10 0.8750 0.1250 0.7500

Top 6 peaks for 2θ from 10° to 90°, in order of falling intensity:
26.78 deg, rel. 100
56.12 deg, rel. 33
43.04 deg, rel. 32
17.81 deg, rel. 31
37.80 deg, rel. 29
55.17 deg, rel. 28

---

The following is a calculated PXRD pattern of KW6O18. It was derived from a GGA+U-relaxed structure, using Cu Kα, 1.54184 Å.
No peak broadening, texture or thermal motion is included.

Crystal structure
a = 7.5154 Å, b = 7.5154 Å, c = 7.7222 Å
α = 90.00°, β = 90.00°, γ = 120.00°
Sites, in units of the cell vectors:
K1 0.0000 0.0000 0.0000
W1 0.0000 0.4895 0.7493
W2 0.0000 0.5105 0.2507
W3 0.4895 0.0000 0.7493
W4 0.4895 0.4895 0.2507
W5 0.5105 0.0000 0.2507
W6 0.5105 0.5105 0.7493
O1 0.0000 0.5000 0.0000
O2 0.0000 0.5000 0.5000
O3 0.2090 0.4231 0.2481
O4 0.2090 0.7859 0.7519
O5 0.2141 0.4231 0.7519
O6 0.2141 0.7910 0.2481
O7 0.4231 0.2090 0.2481
O8 0.4231 0.2141 0.7519
O9 0.5000 0.0000 0.0000
O10 0.5000 0.0000 0.5000
O11 0.5000 0.5000 0.0000
O12 0.5000 0.5000 0.5000
O13 0.5769 0.7859 0.2481
O14 0.5769 0.7910 0.7519
O15 0.7859 0.2090 0.7519
O16 0.7859 0.5769 0.2481
O17 0.7910 0.2141 0.2481
O18 0.7910 0.5769 0.7519

Top 6 peaks for 2θ from 10° to 90°, in order of falling intensity:
27.41 deg, rel. 100
13.61 deg, rel. 58
36.10 deg, rel. 55
23.03 deg, rel. 52
55.33 deg, rel. 29
26.85 deg, rel. 25

---

The following is a calculated PXRD pattern of MnOF. It was derived from a GGA+U-relaxed structure, using Cu Kα, 1.54184 Å.
No peak broadening, texture or thermal motion is included.

Crystal structure
a = 4.8125 Å, b = 3.0752 Å, c = 14.2624 Å
α = 90.00°, β = 93.97°, γ = 90.00°
Sites, in units of the cell vectors:
Mn1 0.0000 0.0000 0.0000
Mn2 0.0451 0.0000 0.3334
Mn3 0.4070 0.5000 0.8353
Mn4 0.5000 0.5000 0.5000
Mn5 0.5930 0.5000 0.1647
Mn6 0.9549 0.0000 0.6666
O1 0.1368 0.5000 0.7323
O2 0.2204 0.5000 0.3994
O3 0.2518 0.0000 0.8967
O4 0.7482 0.0000 0.1033
O5 0.7796 0.5000 0.6006
O6 0.8632 0.5000 0.2677
F1 0.2419 0.5000 0.0641
F2 0.3007 0.0000 0.5640
F3 0.3788 0.0000 0.2247
F4 0.6212 0.0000 0.7753
F5 0.6993 0.0000 0.4360
F6 0.7581 0.5000 0.9359

Top 6 peaks for 2θ from 10° to 90°, in order of falling intensity:
25.47 deg, rel. 100
27.33 deg, rel. 83
34.77 deg, rel. 48
34.64 deg, rel. 44
51.26 deg, rel. 29
53.35 deg, rel. 25

---

The following is a calculated PXRD pattern of Li7NiO4F2. It was derived from a GGA+U-relaxed structure, using Cu Kα, 1.54184 Å.
No peak broadening, texture or thermal motion is included.

Crystal structure
a = 5.3561 Å, b = 5.6371 Å, c = 10.0713 Å
α = 74.18°, β = 85.88°, γ = 64.01°
Sites, in units of the cell vectors:
Li1 0.0000 0.0000 0.0000
Li2 0.0015 0.0859 0.6344
Li3 0.0158 0.6999 0.2224
Li4 0.0255 0.3623 0.7841
Li5 0.4396 0.0599 0.4917
Li6 0.4648 0.7054 0.0695
Li7 0.4786 0.4017 0.9441
Li8 0.4868 0.7413 0.7238
Li9 0.4976 0.0883 0.1680
Li10 0.5081 0.0197 0.8533
Li11 0.5144 0.6446 0.3864
Li12 0.9247 0.1238 0.3343
Li13 0.9334 0.7283 0.5496
Li14 0.9942 0.7331 0.8586
Ni1 0.4708 0.3854 0.6157
Ni2 0.9794 0.3904 0.0645
O1 0.1614 0.6141 0.0452
O2 0.2031 0.6199 0.7154
O3 0.2861 0.1257 0.9996
O4 0.3144 0.1417 0.6727
O5 0.6395 0.6151 0.5700
O6 0.7016 0.6219 0.9096
O7 0.7202 0.1655 0.5050
O8 0.8104 0.1648 0.1363
F1 0.1272 0.7099 0.3862
F2 0.2847 0.1201 0.3208
F3 0.6850 0.6675 0.2179
F4 0.8231 0.1144 0.8271

Top 6 peaks for 2θ from 10° to 90°, in order of falling intensity:
34.34 deg, rel. 100
19.80 deg, rel. 73
20.17 deg, rel. 69
18.34 deg, rel. 67
21.08 deg, rel. 61
18.18 deg, rel. 55

---

The following is a calculated PXRD pattern of Rb3LiTbV2O8. It was derived from a GGA+U-relaxed structure, using Cu Kα, 1.54184 Å.
No peak broadening, texture or thermal motion is included.

Crystal structure
a = 5.9740 Å, b = 5.9740 Å, c = 9.1367 Å
α = 90.00°, β = 90.00°, γ = 120.00°
Sites, in units of the cell vectors:
Rb1 0.0000 0.0000 0.0000
Rb2 0.3333 0.6667 0.4952
Rb3 0.6667 0.3333 0.2004
Li1 0.0000 0.0000 0.7104
Tb1 0.6667 0.3333 0.7021
V1 0.0000 0.0000 0.4631
V2 0.3333 0.6667 0.9315
O1 0.0000 0.0000 0.2734
O2 0.0122 0.5061 0.8675
O3 0.3086 0.1543 0.5646
O4 0.3333 0.6667 0.1190
O5 0.4939 0.5061 0.8675
O6 0.4939 0.9878 0.8675
O7 0.8457 0.1543 0.5646
O8 0.8457 0.6914 0.5646

Top 6 peaks for 2θ from 10° to 90°, in order of falling intensity:
26.02 deg, rel. 100
29.91 deg, rel. 77
40.06 deg, rel. 36
50.79 deg, rel. 30
50.29 deg, rel. 26
53.12 deg, rel. 18